This entry pairs a crystal structure of TlZn2Cd2 with its calculated powder XRD pattern. Radiation: CuKα. Structure: a PBE-relaxed structure.
Lines closer than 0.1° are merged.

Largest 12 diffraction maxima, by intensity, 10 to 90 degrees two-theta:
2θ (°)  Rel. int.
33.1  100
38.2  66
45.1  33
36.6  27
29.5  23
72.1  20
63.5  17
29.8  17
47.5  16
66.6  15
33.4  11
61.2  11

Lattice parameters (Å, degrees): 8.563 8.563 2.994 90.00 90.00 90.00
Atoms (fractional coordinates):
Tl  0.000  0.000  0.000
Tl  0.500  0.500  0.000
Zn  0.163  0.337  0.500
Zn  0.337  0.837  0.500
Zn  0.663  0.163  0.500
Zn  0.837  0.663  0.500
Cd  0.134  0.634  0.000
Cd  0.366  0.134  0.000
Cd  0.634  0.866  0.000
Cd  0.866  0.366  0.000

=====

This entry pairs a crystal structure of ZrTl2Cd with its calculated powder XRD pattern. Radiation: CuKα. Structure: a PBE-relaxed structure.
Lines closer than 0.1° are merged.

Largest 12 diffraction maxima, by intensity, 10 to 90 degrees two-theta:
2θ (°)  Rel. int.
33.2  100
38.8  35
66.7  27
56.0  21
55.4  19
28.8  14
37.9  14
83.2  10
69.7  9
28.2  9
48.7  8
65.5  8

Lattice parameters (Å, degrees): 3.283 3.283 9.489 90.00 90.00 90.00
Atoms (fractional coordinates):
Zr  0.000  0.000  0.000
Tl  0.000  0.000  0.486
Tl  0.500  0.500  0.772
Cd  0.500  0.500  0.216

=====

This entry pairs a crystal structure of Zr6Tl5Cd with its calculated powder XRD pattern. Radiation: CuKα. Structure: a PBE-relaxed structure.
Lines closer than 0.1° are merged.

Largest 12 diffraction maxima, by intensity, 10 to 90 degrees two-theta:
2θ (°)  Rel. int.
37.0  100
33.3  67
62.0  44
47.8  24
23.4  17
69.0  16
78.8  11
79.7  11
81.8  10
69.9  8
44.2  7
58.5  7

Lattice parameters (Å, degrees): 8.509 8.509 6.313 90.00 90.00 143.14
Atoms (fractional coordinates):
Zr  0.000  0.000  0.247
Zr  0.000  0.000  0.753
Zr  0.333  0.667  0.249
Zr  0.333  0.667  0.751
Zr  0.667  0.333  0.249
Zr  0.667  0.333  0.751
Tl  0.165  0.835  0.500
Tl  0.166  0.834  0.000
Tl  0.500  0.500  0.000
Tl  0.834  0.166  0.000
Tl  0.835  0.165  0.500
Cd  0.500  0.500  0.500

=====

This entry pairs a crystal structure of Zr5TlCd2 with its calculated powder XRD pattern. Radiation: CuKα. Structure: a PBE-relaxed structure.
Lines closer than 0.1° are merged.

Largest 12 diffraction maxima, by intensity, 10 to 90 degrees two-theta:
2θ (°)  Rel. int.
34.8  100
40.8  32
70.4  25
58.3  22
39.7  17
69.0  13
73.5  11
59.0  11
20.7  5
88.3  3
24.9  3
19.6  3

Lattice parameters (Å, degrees): 9.595 9.595 9.595 153.34 153.34 38.07
Atoms (fractional coordinates):
Zr  0.000  0.000  0.000
Zr  0.125  0.625  0.500
Zr  0.375  0.875  0.500
Zr  0.625  0.125  0.500
Zr  0.875  0.375  0.500
Tl  0.500  0.500  0.000
Cd  0.251  0.251  0.000
Cd  0.749  0.749  0.000